This entry pairs a crystal structure of Li4MgCo3O8 with its computed powder diffractogram. Radiation: CuKα. Structure: a structure optimized by DFT (PBE+U).
No peak broadening, texture or thermal motion is included.

Cell lengths 5.7221, 5.7221, 14.2388 Å; angles 90.00, 90.00, 120.00 degrees
Space group R-3m (No. 166, hexagonal axes)
Symmetry-distinct sites (fractional):
Li 0.0000 0.0000 0.0000 (multiplicity 3)
Li 0.0000 0.5000 0.0000 (multiplicity 9)
Mg 0.0000 0.0000 0.5000 (multiplicity 3)
Co 0.0000 0.5000 0.5000 (multiplicity 9)
O 0.0000 0.0000 0.2391 (multiplicity 6)
O 0.0160 0.5080 0.7594 (multiplicity 18)

Peak list (8 most intense, 10 to 90 degrees two-theta, in order of rising 2θ)
h k l	2theta	Rel. int.
0 0 3	18.70	100
1 0 1	18.96	12
0 2 1	36.82	37
0 2 4	44.55	78
0 2 7	58.73	14
2 0 8	64.46	20
2 2 0	65.22	21
2 2 3	68.51	14